The following is a calculated PXRD pattern of PuTlPdS2. It was derived from a cell relaxed with GGA-PBE, using CuKα.

Cell lengths 7.4350, 4.8807, 7.6706 Å; angles 90.00, 101.78, 90.00 degrees
Positions (direct):
Pu: 0.0000 0.0084 0.2500
Pu: 0.0000 0.9916 0.7500
Tl: 0.5000 0.3338 0.7500
Tl: 0.5000 0.6662 0.2500
Pd: 0.0000 0.5000 0.0000
Pd: 0.0000 0.5000 0.5000
S: 0.2417 0.1827 0.0436
S: 0.2417 0.8173 0.5436
S: 0.7583 0.1827 0.4564
S: 0.7583 0.8173 0.9564

Peak list (10 most intense, 15° ≤ 2θ ≤ 90°, by angle)
| Position (°2θ) | I_rel |
| --- | --- |
| 21.93 | 45 |
| 23.71 | 36 |
| 24.46 | 77 |
| 26.14 | 36 |
| 30.55 | 100 |
| 34.35 | 60 |
| 38.92 | 40 |
| 44.18 | 31 |
| 44.68 | 23 |
| 62.18 | 21 |

---

The following is a calculated PXRD pattern of Pu3U3PdS8. It was derived from a cell relaxed with GGA-PBE, using CuKα.

Cell lengths 7.6908, 7.6908, 7.8334 Å; angles 120.17, 120.17, 59.09 degrees
Positions (direct):
Pu: 0.0000 0.0000 0.0000
Pu: 0.0000 0.5000 0.5000
Pu: 0.5000 0.0000 0.5000
U: 0.0000 0.5000 0.0000
U: 0.5000 0.0000 0.0000
U: 0.5000 0.5000 0.5000
Pd: 0.0000 0.0000 0.5000
S: 0.2488 0.7458 0.2511
S: 0.2500 0.2500 0.2499
S: 0.2542 0.7512 0.7489
S: 0.2545 0.2545 0.7585
S: 0.7455 0.7455 0.2415
S: 0.7458 0.2488 0.2511
S: 0.7500 0.7500 0.7501
S: 0.7512 0.2542 0.7489

Peak list (10 most intense, 15° ≤ 2θ ≤ 90°, by angle)
| Position (°2θ) | I_rel |
| --- | --- |
| 16.25 | 21 |
| 27.91 | 24 |
| 28.16 | 24 |
| 28.66 | 45 |
| 32.85 | 100 |
| 46.37 | 13 |
| 46.96 | 25 |
| 47.28 | 24 |
| 47.98 | 12 |
| 59.34 | 12 |

---

The following is a calculated PXRD pattern of PuU3Pd4S12. It was derived from a cell relaxed with GGA-PBE, using CuKα.

Cell lengths 8.3041, 8.3041, 8.3041 Å; angles 105.99, 105.99, 105.99 degrees
Positions (direct):
Pu: 0.0000 0.0000 0.0000
U: 0.0000 0.5632 0.4368
U: 0.4368 0.0000 0.5632
U: 0.5632 0.4368 0.0000
Pd: 0.0908 0.5000 0.9092
Pd: 0.5000 0.5000 0.5000
Pd: 0.5000 0.9092 0.0908
Pd: 0.9092 0.0908 0.5000
S: 0.0170 0.6886 0.7677
S: 0.0899 0.9101 0.5000
S: 0.2323 0.3114 0.9830
S: 0.3114 0.9830 0.2323
S: 0.3322 0.6678 0.5000
S: 0.5000 0.0899 0.9101
S: 0.5000 0.3322 0.6678
S: 0.6678 0.5000 0.3322
S: 0.6886 0.7677 0.0170
S: 0.7677 0.0170 0.6886
S: 0.9101 0.5000 0.0899
S: 0.9830 0.2323 0.3114

Peak list (10 most intense, 15° ≤ 2θ ≤ 90°, by angle)
| Position (°2θ) | I_rel |
| --- | --- |
| 17.98 | 33 |
| 22.46 | 45 |
| 24.11 | 100 |
| 26.89 | 20 |
| 29.53 | 34 |
| 30.93 | 22 |
| 38.98 | 39 |
| 40.60 | 25 |
| 43.65 | 25 |
| 49.56 | 32 |